Starting from the PBE geometry in the Materials Project, the X-ray diffraction stick pattern of Cs2KFeC6N6 was computed for Cu Kα.

The 12 most intense peaks (10 to 80 degrees two-theta), low angle first:
- 15.72°, intensity 140, (0 0 2)
- 17.58°, intensity 193, (1 1 0)
- 21.62°, intensity 192, (0 2 0)
- 22.31°, intensity 1000, (1 1 1)
- 22.97°, intensity 362, (2 0 -2)
- 28.56°, intensity 108, (1 1 -4)
- 31.75°, intensity 382, (0 0 4)
- 32.73°, intensity 150, (2 2 -1)
- 35.63°, intensity 170, (1 3 0)
- 35.67°, intensity 123, (1 3 -2)
- 39.86°, intensity 157, (3 1 -1)
- 39.99°, intensity 141, (3 1 -5)

Crystal structure
```
data_Cs2KFeC6N6
_symmetry_space_group_name_H-M 'P 1 21/c 1'
_symmetry_Int_Tables_number 14
_cell_length_a 7.755
_cell_length_b 8.220
_cell_length_c 13.647
_cell_angle_alpha 90.00
_cell_angle_beta 124.37
_cell_angle_gamma 90.00
loop_
_symmetry_equiv_pos_as_xyz
'x,y,z'
'-x,-y,-z'
'-x,y+1/2,-z+1/2'
'x,-y+1/2,z+1/2'
loop_
_atom_site_label
_atom_site_type_symbol
_atom_site_fract_x
_atom_site_fract_y
_atom_site_fract_z
_atom_site_occupancy
Cs1 Cs 0.229 0.067 0.249 1
K1 K 0.000 0.000 0.500 1
Fe1 Fe 0.500 0.000 0.000 1
C1 C 0.266 0.124 0.969 1
C2 C 0.339 0.695 0.460 1
C3 C 0.408 0.023 0.838 1
N1 N 0.119 0.200 0.948 1
N2 N 0.239 0.685 0.935 1
N3 N 0.353 0.040 0.739 1
```

Starting from the PBE geometry in the Materials Project, the X-ray diffraction stick pattern of Pr2S3 was computed for Cu Kα.

The 12 most intense peaks (10 to 80 degrees two-theta), low angle first:
- 25.21°, intensity 1000, (1 1 6)
- 32.69°, intensity 737, (3 1 0)
- 32.79°, intensity 309, (1 0 9)
- 38.95°, intensity 675, (2 1 9)
- 46.92°, intensity 274, (4 0 6)
- 47.04°, intensity 133, (2 0 12)
- 49.40°, intensity 264, (3 2 9)
- 53.98°, intensity 139, (4 3 3)
- 54.07°, intensity 160, (3 1 12)
- 66.55°, intensity 184, (6 1 3)
- 66.74°, intensity 133, (1 1 18)
- 70.57°, intensity 121, (5 1 12)

Crystal structure
```
data_Pr2S3
_symmetry_space_group_name_H-M 'I -4 2 d'
_symmetry_Int_Tables_number 122
_symmetry_space_group_name_Hall 'I -4 2bw'
_cell_length_a 8.663
_cell_length_b 8.663
_cell_length_c 25.899
_cell_angle_alpha 90.00
_cell_angle_beta 90.00
_cell_angle_gamma 90.00
loop_
_atom_site_label
_atom_site_type_symbol
_atom_site_fract_x
_atom_site_fract_y
_atom_site_fract_z
_atom_site_occupancy
Pr1 Pr 0.000 0.000 0.166 1
Pr2 Pr 0.120 0.750 0.625 1
Pr3 Pr 0.138 0.742 0.961 1
S1 S 0.072 0.675 0.183 1
S2 S 0.074 0.681 0.855 1
S3 S 0.081 0.668 0.516 1
```

Starting from the PBE geometry in the Materials Project, the X-ray diffraction stick pattern of NaLaSnP2SO12 was computed for Cu Kα.

The 12 most intense peaks (10 to 80 degrees two-theta), low angle first:
- 18.74°, intensity 867, (1 1 1)
- 19.09°, intensity 460, (2 0 -2)
- 19.26°, intensity 1000, (3 1 -1)
- 19.38°, intensity 526, (0 2 0)
- 22.18°, intensity 273, (3 1 0)
- 22.53°, intensity 312, (0 2 1)
- 26.67°, intensity 287, (4 0 0)
- 27.33°, intensity 525, (2 2 -2)
- 29.69°, intensity 416, (3 1 1)
- 30.14°, intensity 359, (0 2 2)
- 30.44°, intensity 389, (3 1 -3)
- 33.82°, intensity 598, (3 3 -1)

Crystal structure
```
data_NaLaSnP2SO12
_symmetry_space_group_name_H-M 'C 1 c 1'
_symmetry_Int_Tables_number 9
_cell_length_a 15.998
_cell_length_b 9.161
_cell_length_c 9.308
_cell_angle_alpha 90.00
_cell_angle_beta 123.30
_cell_angle_gamma 90.00
loop_
_symmetry_equiv_pos_as_xyz
'x,y,z'
'x,-y,z+1/2'
'x+1/2,y+1/2,z'
'x+1/2,-y+1/2,z+1/2'
loop_
_atom_site_label
_atom_site_type_symbol
_atom_site_fract_x
_atom_site_fract_y
_atom_site_fract_z
_atom_site_occupancy
Na1 Na 0.000 0.231 0.000 1
La1 La 0.339 0.259 0.058 1
Sn1 Sn 0.129 0.250 0.428 1
P1 P 0.095 0.084 0.733 1
P2 P 0.212 0.456 0.227 1
S1 S 0.386 0.127 0.724 1
O1 O 0.004 0.145 0.726 1
O2 O 0.088 0.117 0.560 1
O3 O 0.093 0.089 0.242 1
O4 O 0.130 0.373 0.238 1
O5 O 0.152 0.445 0.560 1
O6 O 0.191 0.140 0.888 1
O7 O 0.278 0.343 0.213 1
O8 O 0.278 0.454 0.887 1
O9 O 0.290 0.181 0.567 1
O10 O 0.391 0.154 0.883 1
O11 O 0.401 0.030 0.212 1
O12 O 0.468 0.213 0.729 1
```

Starting from the PBE geometry in the Materials Project, the X-ray diffraction stick pattern of CsO2 was computed for Cu Kα.

The 12 most intense peaks (10 to 80 degrees two-theta), low angle first:
- 21.41°, intensity 250, (0 0 1)
- 23.93°, intensity 444, (1 1 0)
- 26.18°, intensity 348, (0 2 0)
- 32.33°, intensity 1000, (1 1 1)
- 34.07°, intensity 248, (0 2 1)
- 40.64°, intensity 139, (2 0 0)
- 44.86°, intensity 154, (1 3 0)
- 48.98°, intensity 119, (2 2 0)
- 50.22°, intensity 167, (1 3 1)
- 50.36°, intensity 127, (1 1 2)
- 54.04°, intensity 134, (2 2 1)
- 64.38°, intensity 136, (1 3 2)

Crystal structure
```
data_CsO2
_symmetry_space_group_name_H-M 'C m m m'
_symmetry_Int_Tables_number 65
_symmetry_space_group_name_Hall '-C 2 2'
_cell_length_a 4.440
_cell_length_b 6.807
_cell_length_c 4.149
_cell_angle_alpha 90.00
_cell_angle_beta 90.00
_cell_angle_gamma 90.00
loop_
_atom_site_label
_atom_site_type_symbol
_atom_site_fract_x
_atom_site_fract_y
_atom_site_fract_z
_atom_site_occupancy
Cs1 Cs 0.000 0.000 0.000 1
O1 O 0.000 0.400 0.500 1
```

Starting from the PBE geometry in the Materials Project, the X-ray diffraction stick pattern of PtC was computed for Cu Kα.

The 5 most intense peaks (10 to 80 degrees two-theta), low angle first:
- 34.69°, intensity 1000, (1 1 1)
- 40.27°, intensity 622, (2 0 0)
- 58.26°, intensity 421, (2 2 0)
- 69.62°, intensity 422, (3 1 1)
- 73.20°, intensity 143, (2 2 2)

Crystal structure
```
data_PtC
_symmetry_space_group_name_H-M 'F m -3 m'
_symmetry_Int_Tables_number 225
_symmetry_space_group_name_Hall '-F 4 2 3'
_cell_length_a 4.479
_cell_length_b 4.479
_cell_length_c 4.479
_cell_angle_alpha 90.00
_cell_angle_beta 90.00
_cell_angle_gamma 90.00
loop_
_atom_site_label
_atom_site_type_symbol
_atom_site_fract_x
_atom_site_fract_y
_atom_site_fract_z
_atom_site_occupancy
Pt1 Pt 0.000 0.000 0.000 1
C1 C 0.000 0.000 0.500 1
```

Starting from the PBE geometry in the Materials Project, the X-ray diffraction stick pattern of Na7SbO6 was computed for Cu Kα.

The 12 most intense peaks (10 to 80 degrees two-theta), low angle first:
- 16.74°, intensity 1000, (1 0 1)
- 17.14°, intensity 255, (0 0 3)
- 19.47°, intensity 664, (0 1 2)
- 27.92°, intensity 326, (1 0 4)
- 32.30°, intensity 217, (0 2 1)
- 32.52°, intensity 755, (2 -1 3)
- 32.95°, intensity 254, (0 1 5)
- 33.85°, intensity 158, (2 0 2)
- 42.87°, intensity 225, (2 1 1)
- 44.10°, intensity 280, (1 2 2)
- 44.76°, intensity 647, (1 1 6)
- 48.48°, intensity 311, (3 0 0)

Crystal structure
```
data_Na7SbO6
_symmetry_space_group_name_H-M 'R 3'
_symmetry_Int_Tables_number 146
_symmetry_space_group_name_Hall 'R 3'
_cell_length_a 6.5052
_cell_length_b 6.5052
_cell_length_c 15.5203
_cell_angle_alpha 90.00
_cell_angle_beta 90.00
_cell_angle_gamma 120.00
loop_
_atom_site_label
_atom_site_type_symbol
_atom_site_fract_x
_atom_site_fract_y
_atom_site_fract_z
_atom_site_occupancy
Na1 Na 0.0000 0.0000 0.0000 1
Na2 Na 0.0084 0.3993 0.4502 1
Na3 Na 0.0200 0.7473 0.5743 1
Sb1 Sb 0.0000 0.0000 0.3453 1
O1 O 0.9999 0.7375 0.4197 1
O2 O 0.0840 0.3803 0.9379 1
```

Copy entry 3 word for word.
Starting from the PBE geometry in the Materials Project, the X-ray diffraction stick pattern of NaLaSnP2SO12 was computed for Cu Kα.

The 12 most intense peaks (10 to 80 degrees two-theta), low angle first:
- 18.74°, intensity 867, (1 1 1)
- 19.09°, intensity 460, (2 0 -2)
- 19.26°, intensity 1000, (3 1 -1)
- 19.38°, intensity 526, (0 2 0)
- 22.18°, intensity 273, (3 1 0)
- 22.53°, intensity 312, (0 2 1)
- 26.67°, intensity 287, (4 0 0)
- 27.33°, intensity 525, (2 2 -2)
- 29.69°, intensity 416, (3 1 1)
- 30.14°, intensity 359, (0 2 2)
- 30.44°, intensity 389, (3 1 -3)
- 33.82°, intensity 598, (3 3 -1)

Crystal structure
```
data_NaLaSnP2SO12
_symmetry_space_group_name_H-M 'C 1 c 1'
_symmetry_Int_Tables_number 9
_cell_length_a 15.998
_cell_length_b 9.161
_cell_length_c 9.308
_cell_angle_alpha 90.00
_cell_angle_beta 123.30
_cell_angle_gamma 90.00
loop_
_symmetry_equiv_pos_as_xyz
'x,y,z'
'x,-y,z+1/2'
'x+1/2,y+1/2,z'
'x+1/2,-y+1/2,z+1/2'
loop_
_atom_site_label
_atom_site_type_symbol
_atom_site_fract_x
_atom_site_fract_y
_atom_site_fract_z
_atom_site_occupancy
Na1 Na 0.000 0.231 0.000 1
La1 La 0.339 0.259 0.058 1
Sn1 Sn 0.129 0.250 0.428 1
P1 P 0.095 0.084 0.733 1
P2 P 0.212 0.456 0.227 1
S1 S 0.386 0.127 0.724 1
O1 O 0.004 0.145 0.726 1
O2 O 0.088 0.117 0.560 1
O3 O 0.093 0.089 0.242 1
O4 O 0.130 0.373 0.238 1
O5 O 0.152 0.445 0.560 1
O6 O 0.191 0.140 0.888 1
O7 O 0.278 0.343 0.213 1
O8 O 0.278 0.454 0.887 1
O9 O 0.290 0.181 0.567 1
O10 O 0.391 0.154 0.883 1
O11 O 0.401 0.030 0.212 1
O12 O 0.468 0.213 0.729 1
```

What did the sixth record say?
Starting from the PBE geometry in the Materials Project, the X-ray diffraction stick pattern of Na7SbO6 was computed for Cu Kα.

The 12 most intense peaks (10 to 80 degrees two-theta), low angle first:
- 16.74°, intensity 1000, (1 0 1)
- 17.14°, intensity 255, (0 0 3)
- 19.47°, intensity 664, (0 1 2)
- 27.92°, intensity 326, (1 0 4)
- 32.30°, intensity 217, (0 2 1)
- 32.52°, intensity 755, (2 -1 3)
- 32.95°, intensity 254, (0 1 5)
- 33.85°, intensity 158, (2 0 2)
- 42.87°, intensity 225, (2 1 1)
- 44.10°, intensity 280, (1 2 2)
- 44.76°, intensity 647, (1 1 6)
- 48.48°, intensity 311, (3 0 0)

Crystal structure
```
data_Na7SbO6
_symmetry_space_group_name_H-M 'R 3'
_symmetry_Int_Tables_number 146
_symmetry_space_group_name_Hall 'R 3'
_cell_length_a 6.5052
_cell_length_b 6.5052
_cell_length_c 15.5203
_cell_angle_alpha 90.00
_cell_angle_beta 90.00
_cell_angle_gamma 120.00
loop_
_atom_site_label
_atom_site_type_symbol
_atom_site_fract_x
_atom_site_fract_y
_atom_site_fract_z
_atom_site_occupancy
Na1 Na 0.0000 0.0000 0.0000 1
Na2 Na 0.0084 0.3993 0.4502 1
Na3 Na 0.0200 0.7473 0.5743 1
Sb1 Sb 0.0000 0.0000 0.3453 1
O1 O 0.9999 0.7375 0.4197 1
O2 O 0.0840 0.3803 0.9379 1
```